1.
Computed X-ray powder pattern of Pm2DyMgO for Cu Kα, from a GGA-PBE-relaxed structure.
Kinematic intensities with the Lorentz-polarization factor, no thermal factor.

```
Pm2DyMgO
1.0
5.020 0.000 0.000
0.000 5.020 0.000
0.000 0.000 4.751
Pm Dy Mg O
2 1 1 1
direct
0.000 0.500 0.000 Pm
0.500 0.000 0.000 Pm
0.000 0.000 0.500 Dy
0.500 0.500 0.500 Mg
0.000 0.000 0.000 O
```

Principal peaks in the range 2θ = 10–80°, most intense first:
- 2θ = 31.5°, I 100
- 2θ = 35.8°, I 41
- 2θ = 61.6°, I 30
- 2θ = 53.1°, I 26
- 2θ = 17.7°, I 22
- 2θ = 37.9°, I 17
- 2θ = 51.5°, I 14
- 2θ = 65.7°, I 14
- 2θ = 64.4°, I 13
- 2θ = 25.8°, I 10

2.
Computed X-ray powder pattern of Ta2ReRh for Cu Kα, from a GGA-PBE-relaxed structure.
Kinematic intensities with the Lorentz-polarization factor, no thermal factor.

```
Ta2ReRh
1.0
4.466 0.000 0.000
0.000 4.466 0.000
0.000 0.000 3.283
Ta Re Rh
2 1 1
direct
0.000 0.500 0.000 Ta
0.500 0.000 0.000 Ta
0.000 0.000 0.500 Re
0.500 0.500 0.500 Rh
```

Principal peaks in the range 2θ = 10–80°, most intense first:
- 2θ = 39.6°, I 100
- 2θ = 40.4°, I 47
- 2θ = 72.9°, I 34
- 2θ = 71.3°, I 18
- 2θ = 58.5°, I 16
- 2θ = 56.0°, I 9
- 2θ = 19.9°, I 4
- 2θ = 33.9°, I 2
- 2θ = 28.3°, I 1
- 2θ = 53.7°, I 1

3.
Computed X-ray powder pattern of Ca3MgGa3 for Cu Kα, from a GGA-PBE-relaxed structure.
Kinematic intensities with the Lorentz-polarization factor, no thermal factor.

```
Ca3MgGa3
1.0
2.277 -5.563 0.000
2.277 5.563 0.000
0.000 0.000 14.363
Ca Mg Ga
6 2 6
direct
0.008 0.992 0.750 Ca
0.289 0.711 0.607 Ca
0.289 0.711 0.893 Ca
0.711 0.289 0.107 Ca
0.711 0.289 0.393 Ca
0.992 0.008 0.250 Ca
0.000 0.000 0.000 Mg
0.000 0.000 0.500 Mg
0.282 0.718 0.250 Ga
0.417 0.583 0.098 Ga
0.417 0.583 0.402 Ga
0.583 0.417 0.598 Ga
0.583 0.417 0.902 Ga
0.718 0.282 0.750 Ga
```

Principal peaks in the range 2θ = 10–80°, most intense first:
- 2θ = 36.4°, I 100
- 2θ = 32.8°, I 60
- 2θ = 39.6°, I 39
- 2θ = 37.4°, I 35
- 2θ = 17.1°, I 31
- 2θ = 31.1°, I 31
- 2θ = 55.6°, I 25
- 2θ = 21.1°, I 25
- 2θ = 37.6°, I 24
- 2θ = 55.7°, I 19

4.
Computed X-ray powder pattern of BaLi2Mg8 for Cu Kα, from a GGA-PBE-relaxed structure.
Kinematic intensities with the Lorentz-polarization factor, no thermal factor.

```
BaLi2Mg8
1.0
-3.065 3.065 10.095
3.065 -3.065 10.095
3.065 3.065 -10.095
Ba Li Mg
1 2 8
direct
0.000 0.000 0.000 Ba
0.250 0.750 0.500 Li
0.750 0.250 0.500 Li
0.095 0.095 0.501 Mg
0.095 0.594 0.000 Mg
0.406 0.406 0.501 Mg
0.406 0.905 0.000 Mg
0.594 0.095 0.000 Mg
0.594 0.594 0.499 Mg
0.905 0.406 0.000 Mg
0.905 0.905 0.499 Mg
```

Principal peaks in the range 2θ = 10–80°, most intense first:
- 2θ = 15.1°, I 100
- 2θ = 34.2°, I 66
- 2θ = 26.5°, I 64
- 2θ = 19.6°, I 55
- 2θ = 22.3°, I 47
- 2θ = 30.5°, I 42
- 2θ = 33.0°, I 30
- 2θ = 50.1°, I 29
- 2θ = 41.7°, I 27
- 2θ = 35.4°, I 25

5.
Computed X-ray powder pattern of Dy6Al5Zn for Cu Kα, from a GGA-PBE-relaxed structure.
Kinematic intensities with the Lorentz-polarization factor, no thermal factor.

```
Dy6Al5Zn
1.0
2.550 -7.652 0.000
2.550 7.652 0.000
0.000 0.000 7.151
Dy Al Zn
6 5 1
direct
0.000 0.000 0.247 Dy
0.000 0.000 0.753 Dy
0.335 0.665 0.248 Dy
0.335 0.665 0.752 Dy
0.665 0.335 0.248 Dy
0.665 0.335 0.752 Dy
0.167 0.833 0.000 Al
0.167 0.833 0.500 Al
0.500 0.500 0.500 Al
0.833 0.167 0.000 Al
0.833 0.167 0.500 Al
0.500 0.500 0.000 Zn
```

Principal peaks in the range 2θ = 10–80°, most intense first:
- 2θ = 35.4°, I 100
- 2θ = 24.7°, I 52
- 2θ = 35.2°, I 51
- 2θ = 63.3°, I 37
- 2θ = 24.9°, I 25
- 2θ = 43.6°, I 23
- 2θ = 63.6°, I 18
- 2θ = 50.6°, I 18
- 2θ = 74.8°, I 11
- 2θ = 57.1°, I 11

6.
Computed X-ray powder pattern of Pm2Y4In for Cu Kα, from a GGA-PBE-relaxed structure.
Kinematic intensities with the Lorentz-polarization factor, no thermal factor.

```
Pm2Y4In
1.0
6.315 0.000 0.000
0.000 10.724 0.000
-0.006 0.000 6.576
Pm Y In
4 8 2
direct
0.244 0.041 0.499 Pm
0.244 0.459 0.999 Pm
0.756 0.541 0.001 Pm
0.756 0.959 0.501 Pm
0.071 0.154 0.000 Y
0.071 0.346 0.500 Y
0.402 0.750 0.250 Y
0.402 0.750 0.750 Y
0.598 0.250 0.250 Y
0.598 0.250 0.750 Y
0.929 0.654 0.500 Y
0.929 0.846 0.000 Y
0.500 0.000 0.000 In
0.500 0.500 0.500 In
```

Principal peaks in the range 2θ = 10–80°, most intense first:
- 2θ = 32.5°, I 100
- 2θ = 31.8°, I 70
- 2θ = 31.9°, I 58
- 2θ = 35.0°, I 37
- 2θ = 28.7°, I 35
- 2θ = 27.1°, I 31
- 2θ = 51.5°, I 28
- 2θ = 39.0°, I 26
- 2θ = 29.5°, I 26
- 2θ = 36.4°, I 25

7.
Computed X-ray powder pattern of Cs3SbTe3 for Cu Kα, from a GGA-PBE-relaxed structure.
Kinematic intensities with the Lorentz-polarization factor, no thermal factor.

```
Cs3SbTe3
1.0
14.967 0.000 0.000
0.000 5.885 0.000
0.000 0.000 16.341
Cs Sb Te
12 4 12
direct
0.071 0.250 0.104 Cs
0.140 0.750 0.480 Cs
0.231 0.750 0.785 Cs
0.269 0.250 0.285 Cs
0.360 0.250 0.980 Cs
0.429 0.750 0.604 Cs
0.571 0.250 0.396 Cs
0.640 0.750 0.020 Cs
0.731 0.750 0.715 Cs
0.769 0.250 0.215 Cs
0.860 0.250 0.520 Cs
0.929 0.750 0.896 Cs
0.056 0.250 0.698 Sb
0.444 0.750 0.198 Sb
0.556 0.250 0.802 Sb
0.944 0.750 0.302 Sb
0.008 0.250 0.332 Te
0.097 0.250 0.869 Te
0.226 0.250 0.621 Te
0.274 0.750 0.121 Te
0.403 0.750 0.369 Te
0.492 0.750 0.832 Te
0.508 0.250 0.168 Te
0.597 0.250 0.631 Te
0.726 0.250 0.879 Te
0.774 0.750 0.379 Te
0.903 0.750 0.131 Te
0.992 0.750 0.668 Te
```

Principal peaks in the range 2θ = 10–80°, most intense first:
- 2θ = 30.4°, I 100
- 2θ = 24.0°, I 77
- 2θ = 25.3°, I 63
- 2θ = 29.2°, I 63
- 2θ = 28.3°, I 47
- 2θ = 27.9°, I 43
- 2θ = 23.0°, I 42
- 2θ = 24.2°, I 32
- 2θ = 41.7°, I 29
- 2θ = 26.2°, I 28

8.
Computed X-ray powder pattern of K2Na17Tl3 for Cu Kα, from a GGA-PBE-relaxed structure.
Kinematic intensities with the Lorentz-polarization factor, no thermal factor.

```
K2Na17Tl3
1.0
6.404 3.697 6.104
-6.404 3.697 6.104
0.000 -7.394 6.104
K Na Tl
2 17 3
direct
0.163 0.163 0.163 K
0.837 0.837 0.837 K
0.000 0.500 0.500 Na
0.164 0.164 0.693 Na
0.164 0.693 0.164 Na
0.240 0.500 0.760 Na
0.240 0.760 0.500 Na
0.307 0.836 0.836 Na
0.394 0.394 0.394 Na
0.500 0.000 0.500 Na
0.500 0.240 0.760 Na
0.500 0.500 0.000 Na
0.500 0.760 0.240 Na
0.606 0.606 0.606 Na
0.693 0.164 0.164 Na
0.760 0.240 0.500 Na
0.760 0.500 0.240 Na
0.836 0.307 0.836 Na
0.836 0.836 0.307 Na
0.000 0.000 0.500 Tl
0.000 0.500 0.000 Tl
0.500 0.000 0.000 Tl
```

Principal peaks in the range 2θ = 10–80°, most intense first:
- 2θ = 16.7°, I 100
- 2θ = 27.9°, I 84
- 2θ = 18.7°, I 70
- 2θ = 40.8°, I 67
- 2θ = 14.5°, I 55
- 2θ = 29.2°, I 54
- 2θ = 32.7°, I 37
- 2θ = 33.8°, I 32
- 2θ = 38.0°, I 31
- 2θ = 25.2°, I 30

9.
Computed X-ray powder pattern of Re5P3 for Cu Kα, from a GGA-PBE-relaxed structure.
Kinematic intensities with the Lorentz-polarization factor, no thermal factor.

```
Re5P3
1.0
6.789 0.000 0.000
-3.394 5.879 0.000
0.000 0.000 5.530
Re P
10 6
direct
0.000 0.241 0.250 Re
0.000 0.759 0.750 Re
0.241 0.000 0.250 Re
0.241 0.241 0.750 Re
0.333 0.667 0.000 Re
0.333 0.667 0.500 Re
0.667 0.333 0.000 Re
0.667 0.333 0.500 Re
0.759 0.000 0.750 Re
0.759 0.759 0.250 Re
0.000 0.405 0.750 P
0.000 0.595 0.250 P
0.405 0.000 0.750 P
0.405 0.405 0.250 P
0.595 0.000 0.250 P
0.595 0.595 0.750 P
```

Principal peaks in the range 2θ = 10–80°, most intense first:
- 2θ = 42.1°, I 100
- 2θ = 43.9°, I 100
- 2θ = 35.9°, I 65
- 2θ = 30.9°, I 57
- 2θ = 40.6°, I 54
- 2θ = 30.4°, I 36
- 2θ = 46.3°, I 34
- 2θ = 72.9°, I 32
- 2θ = 65.8°, I 30
- 2θ = 64.4°, I 27

10.
Computed X-ray powder pattern of U2I6Br for Cu Kα, from a GGA-PBE-relaxed structure.
Kinematic intensities with the Lorentz-polarization factor, no thermal factor.

```
U2I6Br
1.0
8.015 0.000 0.000
-2.000 8.131 0.000
-3.149 -3.246 7.097
U I Br
2 6 1
direct
0.000 0.000 0.000 U
0.342 0.235 0.583 U
0.035 0.853 0.315 I
0.047 0.343 0.326 I
0.153 0.278 0.845 I
0.463 0.172 0.276 I
0.603 0.633 0.810 I
0.623 0.092 0.797 I
0.086 0.768 0.782 Br
```

Principal peaks in the range 2θ = 10–80°, most intense first:
- 2θ = 13.0°, I 100
- 2θ = 12.0°, I 85
- 2θ = 13.8°, I 62
- 2θ = 31.6°, I 47
- 2θ = 31.7°, I 41
- 2θ = 30.8°, I 34
- 2θ = 26.2°, I 28
- 2θ = 13.2°, I 26
- 2θ = 34.3°, I 25
- 2θ = 35.7°, I 25

11.
Computed X-ray powder pattern of CeSm5Al6 for Cu Kα, from a GGA-PBE-relaxed structure.
Kinematic intensities with the Lorentz-polarization factor, no thermal factor.

```
CeSm5Al6
1.0
-2.600 3.685 7.804
2.600 -3.685 7.804
2.600 3.685 -7.804
Ce Sm Al
1 5 6
direct
0.000 0.000 0.000 Ce
0.164 0.664 0.500 Sm
0.332 0.332 0.000 Sm
0.500 0.000 0.500 Sm
0.668 0.668 0.000 Sm
0.836 0.336 0.500 Sm
0.085 0.832 0.253 Al
0.256 0.500 0.756 Al
0.421 0.168 0.253 Al
0.579 0.832 0.747 Al
0.744 0.500 0.244 Al
0.915 0.168 0.747 Al
```

Principal peaks in the range 2θ = 10–80°, most intense first:
- 2θ = 34.5°, I 100
- 2θ = 24.2°, I 58
- 2θ = 61.7°, I 37
- 2θ = 55.8°, I 20
- 2θ = 42.5°, I 18
- 2θ = 49.6°, I 12
- 2θ = 72.6°, I 9
- 2θ = 77.8°, I 6
- 2θ = 49.5°, I 6
- 2θ = 77.9°, I 5

12.
Computed X-ray powder pattern of Mg2ZnAs for Cu Kα, from a GGA-PBE-relaxed structure.
Kinematic intensities with the Lorentz-polarization factor, no thermal factor.

```
Mg2ZnAs
1.0
3.992 0.000 0.000
0.000 3.924 0.000
-1.985 0.000 5.001
Mg Zn As
2 1 1
direct
0.000 0.000 0.000 Mg
0.283 0.500 0.570 Mg
0.726 0.000 0.458 Zn
0.561 0.500 0.119 As
```

Principal peaks in the range 2θ = 10–80°, most intense first:
- 2θ = 42.2°, I 100
- 2θ = 33.2°, I 89
- 2θ = 24.0°, I 70
- 2θ = 42.9°, I 36
- 2θ = 28.9°, I 30
- 2θ = 17.7°, I 30
- 2θ = 45.4°, I 27
- 2θ = 46.3°, I 26
- 2θ = 35.9°, I 21
- 2θ = 66.9°, I 16